Structure and simulated powder diffractogram of Ta2Ni21B6 (DFT lattice parameters and positions (PBE); copper Kα).
Kinematic intensities with the Lorentz-polarization factor, no thermal factor.

Main lines, in order of rising 2θ (2θ from 10° to 90°):
16.91 deg, I = 27
24.00 deg, I = 19
38.39 deg, I = 78
42.22 deg, I = 74
44.92 deg, I = 100
49.15 deg, I = 41
51.56 deg, I = 26
58.37 deg, I = 23
74.64 deg, I = 22
77.19 deg, I = 41

Structure:
```
Ta2Ni21B6
1.0
0.0000 5.2431 5.2431
5.2431 0.0000 5.2431
5.2431 5.2431 0.0000
Ta Ni B
2 21 6
direct
0.2500 0.2500 0.2500
0.7500 0.7500 0.7500
0.0000 0.0000 0.0000
0.0000 0.0000 0.3410
0.0000 0.0000 0.6590
0.0000 0.3410 0.0000
0.0000 0.3410 0.6590
0.0000 0.6590 0.0000
0.0000 0.6590 0.3410
0.1537 0.6154 0.6154
0.3410 0.0000 0.0000
0.3410 0.0000 0.6590
0.3410 0.6590 0.0000
0.3846 0.3846 0.3846
0.3846 0.3846 0.8463
0.3846 0.8463 0.3846
0.6154 0.1537 0.6154
0.6154 0.6154 0.1537
0.6154 0.6154 0.6154
0.6590 0.0000 0.0000
0.6590 0.0000 0.3410
0.6590 0.3410 0.0000
0.8463 0.3846 0.3846
0.2686 0.2686 0.7314
0.2686 0.7314 0.2686
0.2686 0.7314 0.7314
0.7314 0.2686 0.2686
0.7314 0.2686 0.7314
0.7314 0.7314 0.2686
```